Computed XRD peak list
Compound: GdC6N9
Radiation: Cu Kα (λ = 1.5418 Å)
Structure: DFT lattice parameters and positions (PBE)
Peak positions follow from Bragg's law for the DFT cell and can differ from measured ones.

Structure:
Unit cell a=7.8240 b=11.5875 c=10.2952 alpha=90.00 beta=90.00 gamma=90.00
Space group Cmcm (No. 63)
One atom of each set of equivalent atoms:
Gd 0.0000 0.2146 0.2500 (multiplicity 4)
C 0.1422 0.0841 0.7500 (multiplicity 8)
C 0.1438 0.3526 0.5521 (multiplicity 16)
N 0.0000 0.0252 0.7500 (multiplicity 4)
N 0.0000 0.3408 0.0101 (multiplicity 8)
N 0.2209 0.1382 0.1009 (multiplicity 16)
N 0.2259 0.3669 0.2500 (multiplicity 8)

Most intense lines, 2θ = 10–80°, in order of falling intensity:
- 16.15°, d 5.487, I = 100
- 15.29°, d 5.794, I = 33
- 27.17°, d 3.283, I = 28
- 29.45°, d 3.033, I = 27
- 17.23°, d 5.148, I = 20
- 22.05°, d 4.032, I = 19
- 38.21°, d 2.356, I = 18
- 31.12°, d 2.874, I = 16
- 44.36°, d 2.042, I = 16
- 36.37°, d 2.470, I = 15